# 1
Computed X-ray powder pattern
Compound: CrPb2F7
Radiation: CuKα
Structure: a DFT-relaxed cell (PBE+U, the Materials Project)
Kinematic intensities with the Lorentz-polarization factor, no thermal factor.

Main lines, low angle first (2θ = 15–90°):
2theta	I (rel.)
24.23	100
24.45	48
24.73	39
25.34	42
25.97	32
28.64	47
30.04	49
32.42	32

Structural model:
a b c (Å): 5.525 11.323 9.659
angles (deg): 90.00 91.16 90.00
Space group P2_1/c (No. 14)
Asymmetric unit:
Cr1 0.201 0.133 0.293 (multiplicity 4)
Pb1 0.260 0.062 0.864 (multiplicity 4)
Pb2 0.278 0.686 0.945 (multiplicity 4)
F1 0.032 0.736 0.714 (multiplicity 4)
F2 0.055 0.531 0.144 (multiplicity 4)
F3 0.099 0.094 0.104 (multiplicity 4)
F4 0.290 0.175 0.482 (multiplicity 4)
F5 0.379 0.614 0.495 (multiplicity 4)
F6 0.420 0.503 0.804 (multiplicity 4)
F7 0.460 0.243 0.241 (multiplicity 4)

# 2
Computed X-ray powder pattern
Compound: Li2Si4NiO10
Radiation: CuKα
Structure: a DFT-relaxed cell (PBE+U, the Materials Project)
Kinematic intensities with the Lorentz-polarization factor, no thermal factor.

Main lines, low angle first (2θ = 15–90°):
2theta	I (rel.)
15.03	45
17.09	45
18.13	49
19.97	47
23.47	100
24.05	64
28.87	76
29.25	52

Structural model:
a b c (Å): 6.924 7.520 9.640
angles (deg): 100.08 103.28 116.54
Space group P-1 (No. 2)
Asymmetric unit:
Li1 0.116 0.258 0.456 (multiplicity 2)
Li2 0.302 0.811 0.927 (multiplicity 2)
Si1 0.108 0.859 0.242 (multiplicity 2)
Si2 0.251 0.545 0.305 (multiplicity 2)
Si3 0.309 0.116 0.742 (multiplicity 2)
Si4 0.398 0.777 0.640 (multiplicity 2)
Ni1 0.247 0.183 0.074 (multiplicity 2)
O1 0.065 0.885 0.078 (multiplicity 2)
O2 0.075 0.128 0.679 (multiplicity 2)
O3 0.082 0.629 0.232 (multiplicity 2)
O4 0.147 0.301 0.233 (multiplicity 2)
O5 0.231 0.883 0.626 (multiplicity 2)
O6 0.272 0.574 0.485 (multiplicity 2)
O7 0.358 0.045 0.366 (multiplicity 2)
O8 0.389 0.123 0.914 (multiplicity 2)
O9 0.431 0.716 0.789 (multiplicity 2)
O10 0.493 0.303 0.697 (multiplicity 2)

# 3
Computed X-ray powder pattern
Compound: Li2VOF4
Radiation: CuKα
Structure: a DFT-relaxed cell (PBE+U, the Materials Project)
Kinematic intensities with the Lorentz-polarization factor, no thermal factor.

Main lines, low angle first (2θ = 15–90°):
2theta	I (rel.)
17.35	93
19.78	100
25.67	79
27.12	47
31.78	37
40.17	23
48.08	25
49.24	31

Structural model:
a b c (Å): 3.701 9.994 11.522
angles (deg): 115.68 98.98 90.15
Space group P1 (No. 1)
Asymmetric unit:
Li1 0.000 0.000 0.000 (multiplicity 1)
Li2 0.079 0.405 0.173 (multiplicity 1)
Li3 0.242 0.521 0.500 (multiplicity 1)
Li4 0.327 0.289 0.673 (multiplicity 1)
Li5 0.500 0.500 0.000 (multiplicity 1)
Li6 0.588 0.905 0.173 (multiplicity 1)
Li7 0.746 0.021 0.500 (multiplicity 1)
Li8 0.834 0.789 0.673 (multiplicity 1)
V1 0.219 0.178 0.362 (multiplicity 1)
V2 0.387 0.705 0.863 (multiplicity 1)
V3 0.633 0.678 0.362 (multiplicity 1)
V4 0.885 0.205 0.862 (multiplicity 1)
O1 0.169 0.653 0.353 (multiplicity 1)
O2 0.421 0.221 0.854 (multiplicity 1)
O3 0.674 0.153 0.354 (multiplicity 1)
O4 0.923 0.721 0.854 (multiplicity 1)
F1 0.009 0.205 0.031 (multiplicity 1)
F2 0.089 0.000 0.185 (multiplicity 1)
F3 0.138 0.324 0.298 (multiplicity 1)
F4 0.228 0.065 0.470 (multiplicity 1)
F5 0.257 0.347 0.531 (multiplicity 1)
F6 0.341 0.705 0.685 (multiplicity 1)
F7 0.406 0.495 0.798 (multiplicity 1)
F8 0.486 0.926 0.970 (multiplicity 1)
F9 0.511 0.705 0.031 (multiplicity 1)
F10 0.588 0.500 0.184 (multiplicity 1)
F11 0.651 0.823 0.298 (multiplicity 1)
F12 0.730 0.565 0.470 (multiplicity 1)
F13 0.757 0.847 0.531 (multiplicity 1)
F14 0.839 0.205 0.684 (multiplicity 1)
F15 0.904 0.995 0.798 (multiplicity 1)
F16 0.985 0.425 0.970 (multiplicity 1)

# 4
Computed X-ray powder pattern
Compound: K3NaMgCr2O8
Radiation: CuKα
Structure: a DFT-relaxed cell (PBE+U, the Materials Project)
Kinematic intensities with the Lorentz-polarization factor, no thermal factor.

Main lines, low angle first (2θ = 15–90°):
2theta	I (rel.)
16.00	47
19.61	47
26.94	49
28.42	48
28.77	49
29.71	100
32.31	48
39.82	46

Structural model:
a b c (Å): 10.130 6.620 7.701
angles (deg): 90.00 91.47 90.00
Space group C2 (No. 5)
Asymmetric unit:
K1 0.000 0.000 0.000 (multiplicity 2)
K2 0.181 0.664 0.665 (multiplicity 4)
Na1 0.000 0.124 0.500 (multiplicity 2)
Mg1 0.000 0.484 0.000 (multiplicity 2)
Cr1 0.173 0.638 0.233 (multiplicity 4)
O1 0.062 0.425 0.244 (multiplicity 4)
O2 0.105 0.843 0.326 (multiplicity 4)
O3 0.158 0.664 0.004 (multiplicity 4)
O4 0.174 0.076 0.697 (multiplicity 4)

# 5
Computed X-ray powder pattern
Compound: Li4Ni5SnP6O24
Radiation: CuKα
Structure: a DFT-relaxed cell (PBE+U, the Materials Project)
Kinematic intensities with the Lorentz-polarization factor, no thermal factor.

Main lines, low angle first (2θ = 15–90°):
2theta	I (rel.)
20.09	100
23.93	24
24.16	24
33.16	31
33.32	27
33.51	25
35.16	56
54.96	31

Structural model:
a b c (Å): 8.430 8.506 8.508
angles (deg): 62.65 62.94 62.89
Space group P1 (No. 1)
Asymmetric unit:
Li1 0.000 0.000 0.000 (multiplicity 1)
Li2 0.105 0.940 0.489 (multiplicity 1)
Li3 0.219 0.448 0.336 (multiplicity 1)
Li4 0.557 0.661 0.787 (multiplicity 1)
Ni1 0.205 0.650 0.984 (multiplicity 1)
Ni2 0.359 0.800 0.134 (multiplicity 1)
Ni3 0.494 0.947 0.279 (multiplicity 1)
Ni4 0.708 0.152 0.486 (multiplicity 1)
Ni5 0.839 0.295 0.630 (multiplicity 1)
Sn1 0.997 0.448 0.784 (multiplicity 1)
P1 0.104 0.245 0.191 (multiplicity 1)
P2 0.298 0.047 0.677 (multiplicity 1)
P3 0.412 0.549 0.578 (multiplicity 1)
P4 0.601 0.346 0.090 (multiplicity 1)
P5 0.792 0.858 0.890 (multiplicity 1)
P6 0.908 0.759 0.385 (multiplicity 1)
O1 0.037 0.281 0.031 (multiplicity 1)
O2 0.090 0.197 0.722 (multiplicity 1)
O3 0.099 0.740 0.220 (multiplicity 1)
O4 0.168 0.404 0.154 (multiplicity 1)
O5 0.250 0.478 0.619 (multiplicity 1)
O6 0.251 0.048 0.205 (multiplicity 1)
O7 0.295 0.888 0.872 (multiplicity 1)
O8 0.299 0.991 0.530 (multiplicity 1)
O9 0.375 0.613 0.737 (multiplicity 1)
O10 0.402 0.712 0.393 (multiplicity 1)
O11 0.442 0.543 0.078 (multiplicity 1)
O12 0.455 0.119 0.618 (multiplicity 1)
O13 0.538 0.193 0.117 (multiplicity 1)
O14 0.600 0.867 0.041 (multiplicity 1)
O15 0.603 0.395 0.558 (multiplicity 1)
O16 0.685 0.307 0.231 (multiplicity 1)
O17 0.738 0.807 0.335 (multiplicity 1)
O18 0.746 0.385 0.877 (multiplicity 1)
O19 0.791 0.043 0.725 (multiplicity 1)
O20 0.827 0.697 0.822 (multiplicity 1)
O21 0.899 0.896 0.459 (multiplicity 1)
O22 0.935 0.549 0.531 (multiplicity 1)
O23 0.952 0.816 0.955 (multiplicity 1)
O24 0.953 0.224 0.387 (multiplicity 1)